# LiCeSi2
Calculated powder XRD pattern, Cu Kα, 1.54184 Å. Input: a structure optimized by DFT (GGA-PBE).
Lines closer than 0.1° are merged.

The 10 most intense peaks (10 to 80 degrees two-theta), by angle:
16.23°, I = 409; 20.86°, I = 701; 22.83°, I = 408; 26.37°, I = 710; 27.48°, I = 431; 30.00°, I = 795; 32.79°, I = 412; 34.03°, I = 1000; 35.29°, I = 929; 47.98°, I = 426

Structural model:
abc: 6.798 4.169 10.925
angles: 90.00 90.00 90.00
Sites, in units of the cell vectors:
Li (0.132, 0.250, 0.057)
Li (0.368, 0.750, 0.557)
Li (0.632, 0.250, 0.443)
Li (0.868, 0.750, 0.943)
Ce (0.143, 0.250, 0.348)
Ce (0.357, 0.750, 0.848)
Ce (0.643, 0.250, 0.152)
Ce (0.857, 0.750, 0.652)
Si (0.031, 0.250, 0.834)
Si (0.183, 0.250, 0.639)
Si (0.317, 0.750, 0.139)
Si (0.469, 0.750, 0.334)
Si (0.531, 0.250, 0.666)
Si (0.683, 0.250, 0.861)
Si (0.817, 0.750, 0.361)
Si (0.969, 0.750, 0.166)

---

# LiCeYSi
Calculated powder XRD pattern, Cu Kα, 1.54184 Å. Input: a structure optimized by DFT (GGA-PBE).
Lines closer than 0.1° are merged.

The 10 most intense peaks (10 to 80 degrees two-theta), by angle:
21.63°, I = 98; 25.02°, I = 696; 35.68°, I = 1000; 42.11°, I = 54; 44.07°, I = 204; 51.35°, I = 174; 56.34°, I = 23; 57.94°, I = 269; 64.09°, I = 353; 75.57°, I = 109

Structural model:
abc: 5.033 5.033 5.033
angles: 60.00 60.00 60.00
Sites, in units of the cell vectors:
Li (0.000, 0.000, 0.000)
Ce (0.750, 0.750, 0.750)
Y (0.250, 0.250, 0.250)
Si (0.500, 0.500, 0.500)

---

# Li4CeSn4
Calculated powder XRD pattern, Cu Kα, 1.54184 Å. Input: a structure optimized by DFT (GGA-PBE).
Lines closer than 0.1° are merged.

The 10 most intense peaks (10 to 80 degrees two-theta), by angle:
18.74°, I = 274; 26.85°, I = 286; 28.70°, I = 1000; 31.43°, I = 289; 31.82°, I = 352; 39.55°, I = 305; 43.30°, I = 475; 50.65°, I = 157; 57.88°, I = 211; 63.99°, I = 162

Structural model:
abc: 6.585 6.585 9.470
angles: 90.00 90.00 90.00
Sites, in units of the cell vectors:
Li (0.020, 0.250, 0.167)
Li (0.250, 0.020, 0.667)
Li (0.250, 0.480, 0.667)
Li (0.480, 0.250, 0.167)
Li (0.520, 0.750, 0.833)
Li (0.750, 0.520, 0.333)
Li (0.750, 0.980, 0.333)
Li (0.980, 0.750, 0.833)
Ce (0.250, 0.750, 0.250)
Ce (0.750, 0.250, 0.750)
Sn (0.030, 0.250, 0.462)
Sn (0.250, 0.030, 0.962)
Sn (0.250, 0.470, 0.962)
Sn (0.470, 0.250, 0.462)
Sn (0.530, 0.750, 0.538)
Sn (0.750, 0.530, 0.038)
Sn (0.750, 0.970, 0.038)
Sn (0.970, 0.750, 0.538)

---

# LiTbCe2Te4
Calculated powder XRD pattern, Cu Kα, 1.54184 Å. Input: a structure optimized by DFT (GGA-PBE).
Lines closer than 0.1° are merged.

The 10 most intense peaks (10 to 80 degrees two-theta), by angle:
28.56°, I = 1000; 40.75°, I = 372; 40.92°, I = 380; 50.37°, I = 64; 50.66°, I = 202; 59.12°, I = 123; 66.83°, I = 163; 67.07°, I = 172; 74.40°, I = 124; 74.52°, I = 64

Structural model:
abc: 7.643 4.409 7.681
angles: 90.00 109.37 90.00
Sites, in units of the cell vectors:
Li (0.000, 0.000, 0.000)
Tb (0.500, 0.500, 0.000)
Ce (0.000, 0.500, 0.500)
Ce (0.500, 0.000, 0.500)
Te (0.240, 0.500, 0.233)
Te (0.248, 0.000, 0.764)
Te (0.752, 0.000, 0.236)
Te (0.760, 0.500, 0.767)

---

# Li2CeThTe4
Calculated powder XRD pattern, Cu Kα, 1.54184 Å. Input: a structure optimized by DFT (GGA-PBE).
Lines closer than 0.1° are merged.

The 10 most intense peaks (10 to 80 degrees two-theta), by angle:
12.33°, I = 300; 23.74°, I = 305; 28.72°, I = 1000; 31.41°, I = 136; 41.02°, I = 381; 41.13°, I = 373; 50.94°, I = 199; 67.30°, I = 171; 67.45°, I = 165; 74.88°, I = 140

Structural model:
abc: 7.606 4.388 7.628
angles: 90.00 109.37 90.00
Sites, in units of the cell vectors:
Li (0.000, 0.000, 0.000)
Li (0.000, 0.500, 0.500)
Ce (0.500, 0.000, 0.500)
Th (0.500, 0.500, 0.000)
Te (0.233, 0.000, 0.747)
Te (0.233, 0.500, 0.241)
Te (0.767, 0.000, 0.253)
Te (0.767, 0.500, 0.759)

---

# LiCe2Tl6
Calculated powder XRD pattern, Cu Kα, 1.54184 Å. Input: a structure optimized by DFT (GGA-PBE).
Lines closer than 0.1° are merged.

The 10 most intense peaks (10 to 80 degrees two-theta), by angle:
20.44°, I = 248; 27.75°, I = 394; 32.14°, I = 520; 33.19°, I = 649; 34.41°, I = 496; 34.91°, I = 1000; 39.29°, I = 291; 40.62°, I = 359; 56.23°, I = 242; 63.90°, I = 354

Structural model:
abc: 8.690 3.536 9.409
angles: 90.00 117.36 90.00
Sites, in units of the cell vectors:
Li (0.000, 0.000, 0.000)
Ce (0.306, 0.500, 0.612)
Ce (0.694, 0.500, 0.388)
Tl (0.027, 0.000, 0.692)
Tl (0.316, 0.500, 0.999)
Tl (0.335, 0.000, 0.308)
Tl (0.665, 0.000, 0.692)
Tl (0.684, 0.500, 0.001)
Tl (0.973, 0.000, 0.308)

---

# Li6CeTl6
Calculated powder XRD pattern, Cu Kα, 1.54184 Å. Input: a structure optimized by DFT (GGA-PBE).
Lines closer than 0.1° are merged.

The 10 most intense peaks (10 to 80 degrees two-theta), by angle:
18.15°, I = 573; 25.27°, I = 328; 30.08°, I = 560; 31.14°, I = 1000; 35.36°, I = 258; 36.31°, I = 748; 48.91°, I = 192; 54.09°, I = 216; 57.56°, I = 201; 65.91°, I = 244

Structural model:
abc: 7.546 7.546 7.546
angles: 133.63 99.26 98.57
Sites, in units of the cell vectors:
Li (0.000, 0.000, 0.500)
Li (0.000, 0.500, 0.000)
Li (0.240, 0.000, 0.240)
Li (0.500, 0.000, 0.000)
Li (0.500, 0.500, 0.500)
Li (0.760, 0.000, 0.760)
Ce (0.000, 0.500, 0.500)
Tl (0.180, 0.180, 0.000)
Tl (0.339, 0.500, 0.839)
Tl (0.340, 0.840, 0.500)
Tl (0.660, 0.160, 0.500)
Tl (0.661, 0.500, 0.161)
Tl (0.820, 0.820, 0.000)

---

# LiCeTl3
Calculated powder XRD pattern, Cu Kα, 1.54184 Å. Input: a structure optimized by DFT (GGA-PBE).
Lines closer than 0.1° are merged.

The 10 most intense peaks (10 to 80 degrees two-theta), by angle:
20.12°, I = 133; 30.44°, I = 147; 30.76°, I = 1000; 33.32°, I = 73; 33.62°, I = 75; 38.05°, I = 352; 40.89°, I = 90; 49.48°, I = 156; 54.90°, I = 124; 64.26°, I = 250

Structural model:
abc: 6.690 6.690 5.874
angles: 90.00 90.00 90.00
Sites, in units of the cell vectors:
Li (0.250, 0.250, 0.215)
Li (0.750, 0.750, 0.785)
Ce (0.250, 0.750, 0.500)
Ce (0.750, 0.250, 0.500)
Tl (0.000, 0.000, 0.000)
Tl (0.000, 0.500, 0.000)
Tl (0.250, 0.250, 0.636)
Tl (0.500, 0.000, 0.000)
Tl (0.500, 0.500, 0.000)
Tl (0.750, 0.750, 0.364)

---

# LiCeTm2
Calculated powder XRD pattern, Cu Kα, 1.54184 Å. Input: a structure optimized by DFT (GGA-PBE).
Lines closer than 0.1° are merged.

The 10 most intense peaks (10 to 80 degrees two-theta), by angle:
10.41°, I = 132; 20.91°, I = 111; 25.05°, I = 165; 27.19°, I = 239; 32.85°, I = 1000; 35.72°, I = 420; 48.42°, I = 109; 51.41°, I = 150; 56.74°, I = 181; 62.37°, I = 319

Structural model:
abc: 3.555 3.555 8.495
angles: 90.00 90.00 90.00
Sites, in units of the cell vectors:
Li (0.000, 0.000, 0.000)
Ce (0.000, 0.000, 0.500)
Tm (0.500, 0.500, 0.229)
Tm (0.500, 0.500, 0.771)

---

# LiCeY
Calculated powder XRD pattern, Cu Kα, 1.54184 Å. Input: a structure optimized by DFT (GGA-PBE).
Lines closer than 0.1° are merged.

The 10 most intense peaks (10 to 80 degrees two-theta), by angle:
12.74°, I = 448; 26.61°, I = 262; 28.88°, I = 586; 32.20°, I = 253; 32.34°, I = 1000; 36.82°, I = 452; 49.71°, I = 294; 53.06°, I = 156; 59.57°, I = 212; 63.49°, I = 418

Structural model:
abc: 3.452 3.452 13.899
angles: 90.00 90.00 90.00
Sites, in units of the cell vectors:
Li (0.250, 0.250, 0.052)
Li (0.750, 0.750, 0.948)
Ce (0.250, 0.250, 0.782)
Ce (0.750, 0.750, 0.218)
Y (0.250, 0.250, 0.403)
Y (0.750, 0.750, 0.597)

---

# Li2CeZn9
Calculated powder XRD pattern, Cu Kα, 1.54184 Å. Input: a structure optimized by DFT (GGA-PBE).
Lines closer than 0.1° are merged.

The 10 most intense peaks (10 to 80 degrees two-theta), by angle:
10.44°, I = 512; 24.02°, I = 370; 35.72°, I = 247; 39.70°, I = 283; 40.19°, I = 228; 40.34°, I = 1000; 42.67°, I = 331; 43.51°, I = 246; 65.22°, I = 229; 71.72°, I = 210

Structural model:
abc: 9.003 9.003 9.003
angles: 34.00 34.00 34.00
Sites, in units of the cell vectors:
Li (0.143, 0.143, 0.143)
Li (0.857, 0.857, 0.857)
Ce (0.000, 0.000, 0.000)
Zn (0.081, 0.590, 0.590)
Zn (0.334, 0.334, 0.334)
Zn (0.410, 0.410, 0.919)
Zn (0.410, 0.919, 0.410)
Zn (0.500, 0.500, 0.500)
Zn (0.590, 0.081, 0.590)
Zn (0.590, 0.590, 0.081)
Zn (0.666, 0.666, 0.666)
Zn (0.919, 0.410, 0.410)

---

# LiCe2Zn6
Calculated powder XRD pattern, Cu Kα, 1.54184 Å. Input: a structure optimized by DFT (GGA-PBE).
Lines closer than 0.1° are merged.

The 10 most intense peaks (10 to 80 degrees two-theta), by angle:
12.78°, I = 316; 25.72°, I = 154; 31.38°, I = 148; 34.25°, I = 105; 36.47°, I = 1000; 39.00°, I = 832; 54.46°, I = 303; 69.00°, I = 284; 70.65°, I = 129; 73.07°, I = 246

Structural model:
abc: 8.000 8.000 3.128
angles: 90.00 90.00 120.00
Sites, in units of the cell vectors:
Li (0.000, 0.000, 0.000)
Ce (0.333, 0.667, 0.000)
Ce (0.667, 0.333, 0.000)
Zn (0.000, 0.320, 0.500)
Zn (0.000, 0.680, 0.500)
Zn (0.320, 0.000, 0.500)
Zn (0.320, 0.320, 0.500)
Zn (0.680, 0.000, 0.500)
Zn (0.680, 0.680, 0.500)

---

# Li2Ce3Zn9
Calculated powder XRD pattern, Cu Kα, 1.54184 Å. Input: a structure optimized by DFT (GGA-PBE).
Lines closer than 0.1° are merged.

The 10 most intense peaks (10 to 80 degrees two-theta), by angle:
13.25°, I = 200; 28.07°, I = 318; 33.81°, I = 528; 34.92°, I = 1000; 36.73°, I = 596; 39.19°, I = 213; 39.71°, I = 430; 46.75°, I = 137; 53.12°, I = 284; 68.56°, I = 196

Structural model:
abc: 8.292 8.292 8.292
angles: 148.23 116.61 72.66
Sites, in units of the cell vectors:
Li (0.179, 0.000, 0.179)
Li (0.821, 0.000, 0.821)
Ce (0.215, 0.215, 0.000)
Ce (0.500, 0.500, 0.000)
Ce (0.785, 0.785, 0.000)
Zn (0.000, 0.500, 0.500)
Zn (0.072, 0.363, 0.709)
Zn (0.196, 0.842, 0.354)
Zn (0.347, 0.637, 0.709)
Zn (0.488, 0.842, 0.646)
Zn (0.512, 0.158, 0.354)
Zn (0.653, 0.363, 0.291)
Zn (0.804, 0.158, 0.646)
Zn (0.928, 0.637, 0.291)

---

# LiCeZn11
Calculated powder XRD pattern, Cu Kα, 1.54184 Å. Input: a structure optimized by DFT (GGA-PBE).
Lines closer than 0.1° are merged.

The 10 most intense peaks (10 to 80 degrees two-theta), by angle:
28.18°, I = 264; 34.47°, I = 237; 34.76°, I = 333; 40.08°, I = 658; 40.17°, I = 269; 40.28°, I = 178; 40.40°, I = 1000; 45.22°, I = 339; 65.81°, I = 182; 73.08°, I = 157

Structural model:
abc: 6.811 6.811 6.842
angles: 98.25 98.25 135.09
Sites, in units of the cell vectors:
Li (0.000, 0.000, 0.000)
Ce (0.500, 0.500, 0.500)
Zn (0.000, 0.500, 0.500)
Zn (0.001, 0.782, 0.277)
Zn (0.138, 0.490, 0.145)
Zn (0.218, 0.999, 0.723)
Zn (0.490, 0.138, 0.145)
Zn (0.500, 0.000, 0.500)
Zn (0.500, 0.500, 0.000)
Zn (0.510, 0.862, 0.855)
Zn (0.782, 0.001, 0.277)
Zn (0.862, 0.510, 0.855)
Zn (0.999, 0.218, 0.723)